SiO2: computed XRD peak list (Cu Kα, 1.54184 Å), based on a crystal structure in the Materials Project, relaxed with GGA-PBE.
Kinematic intensities with the Lorentz-polarization factor, no thermal factor.

Crystal structure
Unit cell a=8.645 b=8.645 c=14.035 alpha=90.00 beta=90.00 gamma=90.00
Fractional coordinates of all 60 atoms:
1 Si 0.000 0.500 0.250
2 Si 0.000 0.500 0.750
3 Si 0.070 0.248 0.110
4 Si 0.070 0.248 0.890
5 Si 0.070 0.752 0.390
6 Si 0.070 0.752 0.610
7 Si 0.248 0.070 0.390
8 Si 0.248 0.070 0.610
9 Si 0.248 0.930 0.110
10 Si 0.248 0.930 0.890
11 Si 0.500 0.000 0.250
12 Si 0.500 0.000 0.750
13 Si 0.752 0.070 0.110
14 Si 0.752 0.070 0.890
15 Si 0.752 0.930 0.390
16 Si 0.752 0.930 0.610
17 Si 0.930 0.248 0.390
18 Si 0.930 0.248 0.610
19 Si 0.930 0.752 0.110
20 Si 0.930 0.752 0.890
21 O 0.087 0.304 0.000
22 O 0.087 0.696 0.500
23 O 0.107 0.190 0.369
24 O 0.107 0.190 0.631
25 O 0.107 0.810 0.131
26 O 0.107 0.810 0.869
27 O 0.108 0.392 0.181
28 O 0.108 0.392 0.819
29 O 0.108 0.608 0.319
30 O 0.108 0.608 0.681
31 O 0.190 0.107 0.131
32 O 0.190 0.107 0.869
33 O 0.190 0.893 0.369
34 O 0.190 0.893 0.631
35 O 0.304 0.087 0.500
36 O 0.304 0.913 0.000
37 O 0.392 0.108 0.319
38 O 0.392 0.108 0.681
39 O 0.392 0.892 0.181
40 O 0.392 0.892 0.819
41 O 0.608 0.108 0.181
42 O 0.608 0.108 0.819
43 O 0.608 0.892 0.319
44 O 0.608 0.892 0.681
45 O 0.696 0.087 0.000
46 O 0.696 0.913 0.500
47 O 0.810 0.107 0.369
48 O 0.810 0.107 0.631
49 O 0.810 0.893 0.131
50 O 0.810 0.893 0.869
51 O 0.892 0.392 0.319
52 O 0.892 0.392 0.681
53 O 0.892 0.608 0.181
54 O 0.892 0.608 0.819
55 O 0.893 0.190 0.131
56 O 0.893 0.190 0.869
57 O 0.893 0.810 0.369
58 O 0.893 0.810 0.631
59 O 0.913 0.304 0.500
60 O 0.913 0.696 0.000

Main lines, in order of falling intensity (15° ≤ 2θ ≤ 90°):
2θ = 23.00°, 3.866 Å, rel. 100; 2θ = 23.87°, 3.727 Å, rel. 96; 2θ = 27.43°, 3.251 Å, rel. 57; 2θ = 19.26°, 4.609 Å, rel. 47; 2θ = 25.39°, 3.509 Å, rel. 43; 2θ = 33.39°, 2.683 Å, rel. 33; 2θ = 39.09°, 2.305 Å, rel. 30; 2θ = 24.18°, 3.680 Å, rel. 27; 2θ = 34.52°, 2.598 Å, rel. 24; 2θ = 29.35°, 3.043 Å, rel. 21



MgTa4O12: computed XRD peak list (Cu Kα, 1.54184 Å), based on a crystal structure in the Materials Project, relaxed with GGA-PBE.
Kinematic intensities with the Lorentz-polarization factor, no thermal factor.

Crystal structure
Unit cell a=6.839 b=6.839 c=6.839 alpha=109.47 beta=109.47 gamma=109.47
Fractional coordinates of all 17 atoms:
1 Mg 0.000 0.000 0.000
2 Ta 0.000 0.000 0.500
3 Ta 0.000 0.500 0.000
4 Ta 0.500 0.000 0.000
5 Ta 0.500 0.500 0.500
6 O 0.011 0.247 0.764
7 O 0.236 0.483 0.247
8 O 0.236 0.989 0.753
9 O 0.247 0.236 0.483
10 O 0.247 0.764 0.011
11 O 0.483 0.247 0.236
12 O 0.517 0.753 0.764
13 O 0.753 0.236 0.989
14 O 0.753 0.764 0.517
15 O 0.764 0.011 0.247
16 O 0.764 0.517 0.753
17 O 0.989 0.753 0.236

Main lines, in order of falling intensity (15° ≤ 2θ ≤ 90°):
2θ = 22.52°, 3.949 Å, rel. 100; 2θ = 32.06°, 2.792 Å, rel. 65; 2θ = 51.77°, 1.766 Å, rel. 42; 2θ = 57.14°, 1.612 Å, rel. 27; 2θ = 45.97°, 1.974 Å, rel. 22; 2θ = 71.71°, 1.316 Å, rel. 19; 2θ = 67.04°, 1.396 Å, rel. 14; 2θ = 39.53°, 2.280 Å, rel. 14; 2θ = 76.25°, 1.249 Å, rel. 12; 2θ = 89.49°, 1.095 Å, rel. 9



MgTe6Mo2W2S2: computed XRD peak list (Cu Kα, 1.54184 Å), based on a crystal structure in the Materials Project, relaxed with GGA-PBE.
Kinematic intensities with the Lorentz-polarization factor, no thermal factor.

Crystal structure
Unit cell a=3.487 b=3.487 c=40.907 alpha=90.00 beta=90.00 gamma=120.00
Fractional coordinates of all 13 atoms:
1 Mg 0.000 0.000 0.000
2 Te 0.333 0.667 0.250
3 Te 0.333 0.667 0.340
4 Te 0.667 0.333 0.062
5 Te 0.667 0.333 0.153
6 Te 0.667 0.333 0.686
7 Te 0.667 0.333 0.776
8 Mo 0.333 0.667 0.108
9 Mo 0.667 0.333 0.916
10 W 0.333 0.667 0.731
11 W 0.667 0.333 0.295
12 S 0.333 0.667 0.881
13 S 0.333 0.667 0.954

Main lines, in order of falling intensity (15° ≤ 2θ ≤ 90°):
2θ = 34.49°, 2.600 Å, rel. 100; 2θ = 41.44°, 2.179 Å, rel. 72; 2θ = 29.59°, 3.019 Å, rel. 46; 2θ = 52.49°, 1.743 Å, rel. 37; 2θ = 37.00°, 2.430 Å, rel. 31; 2θ = 31.58°, 2.833 Å, rel. 19; 2θ = 72.80°, 1.299 Å, rel. 19; 2θ = 29.91°, 2.987 Å, rel. 18; 2θ = 64.33°, 1.448 Å, rel. 16; 2θ = 43.08°, 2.100 Å, rel. 16



Sm2MgSi2: computed XRD peak list (Cu Kα, 1.54184 Å), based on a crystal structure in the Materials Project, relaxed with GGA-PBE.
Kinematic intensities with the Lorentz-polarization factor, no thermal factor.

Crystal structure
Unit cell a=7.307 b=7.307 c=4.307 alpha=90.00 beta=90.00 gamma=90.00
Fractional coordinates of all 10 atoms:
1 Sm 0.179 0.321 0.000
2 Sm 0.321 0.821 0.000
3 Sm 0.679 0.179 0.000
4 Sm 0.821 0.679 0.000
5 Mg 0.000 0.000 0.500
6 Mg 0.500 0.500 0.500
7 Si 0.116 0.616 0.500
8 Si 0.384 0.116 0.500
9 Si 0.616 0.884 0.500
10 Si 0.884 0.384 0.500

Main lines, in order of falling intensity (15° ≤ 2θ ≤ 90°):
2θ = 34.45°, 2.603 Å, rel. 100; 2θ = 32.13°, 2.786 Å, rel. 48; 2θ = 27.29°, 3.268 Å, rel. 43; 2θ = 20.62°, 4.307 Å, rel. 33; 2θ = 56.12°, 1.639 Å, rel. 27; 2θ = 24.36°, 3.653 Å, rel. 24; 2θ = 51.57°, 1.772 Å, rel. 19; 2θ = 38.98°, 2.311 Å, rel. 18; 2θ = 41.95°, 2.153 Å, rel. 17; 2θ = 68.58°, 1.368 Å, rel. 16



Pr2Cr2Co15: computed XRD peak list (Cu Kα, 1.54184 Å), based on a crystal structure in the Materials Project, relaxed with GGA-PBE.
Kinematic intensities with the Lorentz-polarization factor, no thermal factor.

Crystal structure
Unit cell a=6.325 b=6.325 c=6.295 alpha=96.84 beta=96.84 gamma=83.69
Fractional coordinates of all 19 atoms:
1 Pr 0.152 0.152 0.351
2 Pr 0.848 0.848 0.649
3 Cr 0.000 0.500 0.000
4 Cr 0.500 0.000 0.000
5 Co 0.157 0.157 0.859
6 Co 0.159 0.642 0.342
7 Co 0.216 0.784 0.000
8 Co 0.217 0.500 0.717
9 Co 0.358 0.841 0.658
10 Co 0.404 0.404 0.098
11 Co 0.500 0.217 0.717
12 Co 0.500 0.500 0.500
13 Co 0.500 0.783 0.283
14 Co 0.596 0.596 0.902
15 Co 0.642 0.159 0.342
16 Co 0.783 0.500 0.283
17 Co 0.784 0.216 0.000
18 Co 0.841 0.358 0.658
19 Co 0.843 0.843 0.141

Main lines, in order of falling intensity (15° ≤ 2θ ≤ 90°):
2θ = 43.44°, 2.083 Å, rel. 100; 2θ = 43.21°, 2.094 Å, rel. 67; 2θ = 44.80°, 2.023 Å, rel. 59; 2θ = 43.69°, 2.072 Å, rel. 46; 2θ = 38.60°, 2.332 Å, rel. 42; 2θ = 36.99°, 2.430 Å, rel. 40; 2θ = 30.72°, 2.910 Å, rel. 35; 2θ = 42.86°, 2.110 Å, rel. 34; 2θ = 48.98°, 1.860 Å, rel. 25; 2θ = 37.29°, 2.412 Å, rel. 21